Record 1
For SiOs3, DFT lattice parameters and positions (GGA-PBE) gives the computed PXRD pattern in this record (Cu Kα (weighted mean of Kα1 and Kα2)).
Intensities are scaled so that the largest is 100.

Top 10 peaks for 5° ≤ 2θ ≤ 70°, in order of rising 2θ:
hkl 0 0 1, 17.58 deg, 5.046 Å, I 21
hkl 0 1 0, 22.30 deg, 3.987 Å, I 19
hkl 0 1 1, 28.54 deg, 3.128 Å, I 29
hkl 1 1 0, 40.35 deg, 2.235 Å, I 75
hkl 1 1 -1, 40.92 deg, 2.205 Å, I 55
hkl 1 0 1, 41.40 deg, 2.181 Å, I 32
hkl 0 1 2, 42.40 deg, 2.132 Å, I 100
hkl 1 0 -2, 43.08 deg, 2.100 Å, I 37
hkl 0 2 0, 45.51 deg, 1.993 Å, I 42
hkl 1 2 -2, 64.45 deg, 1.446 Å, I 22

Cell and atoms:
a b c (Å): 2.7742 3.9865 5.1848
angles (deg): 90.00 103.30 90.00
Space group P2/m (No. 10)
Symmetry-distinct sites (fractional):
Si 0.0000 0.0000 0.0000 [1 per cell]
Os 0.0000 0.0000 0.5000 [1 per cell]
Os 0.3698 0.5000 0.2374 [2 per cell]

Record 2
For Ce2P7Pd12, DFT lattice parameters and positions (GGA-PBE) gives the computed PXRD pattern in this record (Cu Kα (weighted mean of Kα1 and Kα2)).
Intensities are scaled so that the largest is 100.

Top 10 peaks for 5° ≤ 2θ ≤ 70°, in order of rising 2θ:
hkl 1 2 0, 27.90 deg, 3.198 Å, I 14
hkl 1 2 1, 35.71 deg, 2.514 Å, I 100
hkl 0 3 1, 38.86 deg, 2.318 Å, I 8
hkl 0 0 2, 44.56 deg, 2.034 Å, I 27
hkl 2 3 0, 46.80 deg, 1.941 Å, I 11
hkl 4 1 0, 49.36 deg, 1.846 Å, I 17
hkl 3 -1 2, 53.38 deg, 1.716 Å, I 6
hkl 5 0 1, 59.13 deg, 1.563 Å, I 6
hkl 6 -2 1, 62.40 deg, 1.488 Å, I 9
hkl 4 1 2, 68.65 deg, 1.367 Å, I 11

Cell and atoms:
a b c (Å): 9.7694 9.7694 4.0682
angles (deg): 90.00 90.00 120.00
Space group P-3 (No. 147)
Symmetry-distinct sites (fractional):
Ce 0.3333 0.6667 0.2512 [2 per cell]
P 0.0000 0.0000 0.0000 [1 per cell]
P 0.1191 0.4126 0.7479 [6 per cell]
Pd 0.0571 0.6208 0.7523 [6 per cell]
Pd 0.1025 0.8534 0.2627 [6 per cell]